# Cu4AgAs3O12
Computed XRD peak list, Cu Kα (weighted mean of Kα1 and Kα2). Input: the PBE geometry in the Materials Project.

Principal peaks in the range 10° ≤ 2θ ≤ 80°, in order of rising 2θ:
d [Å]  I_rel
3.749  26
3.570  39
3.326  47
2.873  52
2.782  34
2.711  100
2.688  44
2.407  23
1.862  26
1.711  28

Crystal structure
a = 8.7783 Å, b = 8.7783 Å, c = 7.5889 Å
α = 109.66°, β = 109.66°, γ = 91.36°
Fractional coordinates of all 40 atoms:
Cu: 0.0069 0.9931 0.7500
Cu: 0.1207 0.4353 0.3585
Cu: 0.2353 0.7647 0.2500
Cu: 0.4353 0.1207 0.8585
Cu: 0.5647 0.8793 0.1415
Cu: 0.7647 0.2353 0.7500
Cu: 0.8793 0.5647 0.6415
Cu: 0.9931 0.0069 0.2500
Ag: 0.4887 0.5113 0.7500
Ag: 0.5113 0.4887 0.2500
As: 0.1533 0.3921 0.8839
As: 0.2268 0.7732 0.7500
As: 0.3921 0.1533 0.3839
As: 0.6079 0.8467 0.6161
As: 0.7732 0.2268 0.2500
As: 0.8467 0.6079 0.1161
O: 0.0045 0.2265 0.8258
O: 0.0194 0.7730 0.7381
O: 0.0860 0.4735 0.6980
O: 0.1862 0.5233 0.1266
O: 0.2265 0.0045 0.3258
O: 0.2270 0.9806 0.7619
O: 0.2545 0.6546 0.5356
O: 0.3284 0.3397 0.3920
O: 0.3397 0.3284 0.8920
O: 0.3454 0.7455 0.9644
O: 0.4735 0.0860 0.1980
O: 0.4767 0.8138 0.3734
O: 0.5233 0.1862 0.6266
O: 0.5265 0.9140 0.8020
O: 0.6546 0.2545 0.0356
O: 0.6603 0.6716 0.1080
O: 0.6716 0.6603 0.6080
O: 0.7455 0.3454 0.4644
O: 0.7730 0.0194 0.2381
O: 0.7735 0.9955 0.6742
O: 0.8138 0.4767 0.8734
O: 0.9140 0.5265 0.3020
O: 0.9806 0.2270 0.2619
O: 0.9955 0.7735 0.1742